[1]
For CdNi5P2, DFT lattice parameters and positions (GGA-PBE) gives the calculated PXRD pattern in this record (Cu Kα).
Kinematic intensities with the Lorentz-polarization factor, no thermal factor.

Cell and atoms:
```
data_CdNi5P2
_cell_length_a 3.408
_cell_length_b 6.206
_cell_length_c 9.713
_cell_angle_alpha 90.00
_cell_angle_beta 90.00
_cell_angle_gamma 90.00
_symmetry_space_group_name_H-M 'I m m m'
_symmetry_Int_Tables_number 71
_symmetry_space_group_name_Hall '-I 2 2'
loop_
_atom_site_label
_atom_site_type_symbol
_atom_site_fract_x
_atom_site_fract_y
_atom_site_fract_z
_atom_site_occupancy
Cd1 Cd 0.000 0.000 0.000 1
Ni1 Ni 0.000 0.211 0.352 1
Ni2 Ni 0.000 0.500 0.000 1
P1 P 0.000 0.500 0.225 1
```

Top 10 peaks for 2θ = 10–90°, sorted by position:
| 2theta | I (rel.) | index |
| --- | --- | --- |
| 31.16 | 18 | 0 1 3 |
| 34.29 | 26 | 0 2 2 |
| 38.35 | 86 | 1 0 3 |
| 40.39 | 100 | 1 2 1 |
| 47.55 | 51 | 0 2 4 |
| 53.80 | 24 | 2 0 0 |
| 65.33 | 12 | 2 2 2 |
| 73.11 | 12 | 1 4 3 |
| 74.60 | 24 | 2 2 4 |
| 80.98 | 13 | 1 2 7 |

[2]
For PaCd2Ni9, DFT lattice parameters and positions (GGA-PBE) gives the calculated PXRD pattern in this record (Cu Kα).
Kinematic intensities with the Lorentz-polarization factor, no thermal factor.

Cell and atoms:
```
data_PaCd2Ni9
_cell_length_a 4.8655
_cell_length_b 4.8655
_cell_length_c 23.8710
_cell_angle_alpha 90.00
_cell_angle_beta 90.00
_cell_angle_gamma 120.00
_symmetry_space_group_name_H-M 'R -3 m'
_symmetry_Int_Tables_number 166
_symmetry_space_group_name_Hall '-R 3 2"'
loop_
_atom_site_label
_atom_site_type_symbol
_atom_site_fract_x
_atom_site_fract_y
_atom_site_fract_z
_atom_site_occupancy
Pa1 Pa 0.0000 0.0000 0.0000 1
Cd1 Cd 0.0000 0.0000 0.1440 1
Ni1 Ni 0.0000 0.0000 0.3340 1
Ni2 Ni 0.0000 0.0000 0.5000 1
Ni3 Ni 0.0018 0.5009 0.9168 1
```

Top 10 peaks for 2θ = 10–90°, sorted by position:
| 2theta | I (rel.) | index |
| --- | --- | --- |
| 22.36 | 10 | 0 0 6 |
| 33.81 | 37 | 1 0 7 |
| 36.94 | 65 | 1 1 0 |
| 43.10 | 31 | 0 2 1 |
| 43.61 | 100 | 1 1 6 |
| 45.61 | 18 | 0 0 12 |
| 64.59 | 11 | 2 1 7 |
| 66.56 | 17 | 3 0 0 |
| 71.19 | 19 | 3 0 6 |
| 78.66 | 16 | 2 2 0 |